[1]
Diffraction record for Sc3Tc2Ag2. The PXRD pattern is calculated, not measured: it uses the PBE geometry in Alexandria and λ = 1.5418 Å (Cu Kα).

Structural model:
Cell: 4.084 20.800 3.135 Å, 90.00 90.00 90.00°
Space group Cmmm (No. 65)
Symmetry-distinct sites (fractional):
Sc  0.000  0.000  0.000 x2
Sc  0.000  0.157  0.000 x4
Tc  0.000  0.280  0.500 x4
Ag  0.000  0.425  0.500 x4

Principal peaks in the range 2θ = 10–80°, in order of rising 2θ:
| 2θ/deg | d (Å) | I/Imax | hkl |
| --- | --- | --- | --- |
| 22.18 | 4.008 | 27 | 1 1 0 |
| 28.47 | 3.135 | 31 | 0 0 1 |
| 36.39 | 2.469 | 84 | 1 1 1 |
| 37.43 | 2.403 | 100 | 1 7 0 |
| 38.73 | 2.325 | 58 | 0 6 1 |
| 44.36 | 2.042 | 33 | 2 0 0 |
| 47.69 | 1.907 | 31 | 1 7 1 |
| 60.32 | 1.534 | 29 | 2 6 1 |
| 69.91 | 1.346 | 24 | 1 13 1 |
| 71.92 | 1.313 | 27 | 1 7 2 |



[2]
Diffraction record for ScAgTe2. The PXRD pattern is calculated, not measured: it uses the PBE geometry in Alexandria and λ = 1.5418 Å (Cu Kα).

Structural model:
Cell: 4.562 4.562 6.629 Å, 90.00 90.00 90.00°
Space group P-4m2 (No. 115)
Symmetry-distinct sites (fractional):
Sc  0.000  0.000  0.000 x1
Ag  0.500  0.500  0.000 x1
Te  0.000  0.500  0.745 x2

Principal peaks in the range 2θ = 10–80°, in order of rising 2θ:
| 2θ/deg | d (Å) | I/Imax | hkl |
| --- | --- | --- | --- |
| 13.36 | 6.629 | 33 | 0 0 1 |
| 23.67 | 3.758 | 100 | 1 0 1 |
| 30.82 | 2.901 | 21 | 1 1 1 |
| 38.96 | 2.312 | 67 | 1 1 2 |
| 39.50 | 2.281 | 32 | 2 0 0 |
| 45.62 | 1.989 | 17 | 1 0 3 |
| 46.57 | 1.950 | 32 | 2 1 1 |
| 61.90 | 1.499 | 14 | 2 1 3 |
| 70.19 | 1.341 | 11 | 2 0 4 |
| 71.29 | 1.323 | 21 | 3 1 2 |